HgRhAu2: simulated X-ray powder pattern (CuKα), based on a structure optimized by DFT (PBE).
Kinematic intensities with the Lorentz-polarization factor, no thermal factor.

Most intense lines, 2θ from 10° to 80°, in order of falling intensity:
36.80 deg, intensity 100
38.42 deg, intensity 89
43.26 deg, intensity 64
63.90 deg, intensity 41
44.62 deg, intensity 29
74.07 deg, intensity 27
77.13 deg, intensity 24
77.05 deg, intensity 12
60.59 deg, intensity 12
78.06 deg, intensity 12

Atomic structure:
Cell lengths 4.9720, 4.9720, 3.0563 Å; angles 90.00, 90.00, 109.54 degrees
Fractional positions:
Hg1 0.0000 0.0000 0.0000
Rh1 0.5000 0.5000 0.0000
Au1 0.0000 0.5000 0.5000
Au2 0.5000 0.0000 0.5000